No. 1
Starting from the PBE geometry in Alexandria, the XRD peak list of PrSmDyEr was calculated for λ = 1.5418 Å (Cu Kα).
Intensities are scaled so that the largest is 100.

Atomic structure:
```
data_PrSmDyEr
_cell_length_a 5.097
_cell_length_b 5.097
_cell_length_c 10.146
_cell_angle_alpha 90.00
_cell_angle_beta 90.00
_cell_angle_gamma 90.00
_space_group_name_H-M_alt 'I -4 m 2'
_space_group_IT_number 119
_space_group_name_Hall 'I -4 -2'
loop_
_atom_site_label
_atom_site_type_symbol
_atom_site_fract_x
_atom_site_fract_y
_atom_site_fract_z
_atom_site_occupancy
Pr1 Pr 0.000 0.000 0.000 1
Sm1 Sm 0.000 0.500 0.750 1
Dy1 Dy 0.000 0.500 0.250 1
Er1 Er 0.000 0.000 0.500 1
```

Principal peaks in the range 10° ≤ 2θ ≤ 90°, in order of falling intensity:
- 2θ = 30.4°, d 2.938, intensity 100, hkl 1 1 2
- 2θ = 35.2°, d 2.548, intensity 34, hkl 2 0 0
- 2θ = 60.3°, d 1.536, intensity 29, hkl 3 1 2
- 2θ = 50.8°, d 1.798, intensity 24, hkl 2 0 4
- 2θ = 35.4°, d 2.537, intensity 17, hkl 0 0 4
- 2θ = 60.5°, d 1.531, intensity 14, hkl 1 1 6
- 2θ = 63.3°, d 1.469, intensity 12, hkl 2 2 4
- 2θ = 50.7°, d 1.802, intensity 12, hkl 2 2 0
- 2θ = 82.7°, d 1.167, intensity 12, hkl 3 1 6
- 2θ = 85.2°, d 1.139, intensity 11, hkl 4 2 0



No. 2
Starting from the PBE geometry in Alexandria, the XRD peak list of Tb3Pr2DyEr6 was calculated for λ = 1.5418 Å (Cu Kα).
Intensities are scaled so that the largest is 100.

Atomic structure:
```
data_Tb3Pr2DyEr6
_cell_length_a 6.168
_cell_length_b 10.675
_cell_length_c 11.742
_cell_angle_alpha 90.00
_cell_angle_beta 100.04
_cell_angle_gamma 90.00
_space_group_name_H-M_alt 'C 1 2/m 1'
_space_group_IT_number 12
loop_
_space_group_symop_operation_xyz
'x,y,z'
'-x,-y,-z'
'-x,y,-z'
'x,-y,z'
'x+1/2,y+1/2,z'
'-x+1/2,-y+1/2,-z'
'-x+1/2,y+1/2,-z'
'x+1/2,-y+1/2,z'
loop_
_atom_site_label
_atom_site_type_symbol
_atom_site_fract_x
_atom_site_fract_y
_atom_site_fract_z
_atom_site_occupancy
Tb1 Tb 0.000 0.000 0.000 1
Tb2 Tb 0.000 0.333 0.000 1
Pr1 Pr 0.000 0.167 0.500 1
Dy1 Dy 0.000 0.500 0.500 1
Er1 Er 0.248 0.500 0.247 1
Er2 Er 0.249 0.166 0.247 1
```

Principal peaks in the range 10° ≤ 2θ ≤ 90°, in order of falling intensity:
- 2θ = 30.8°, d 2.905, intensity 100, hkl 1 3 1
- 2θ = 35.7°, d 2.513, intensity 67, hkl 2 0 2
- 2θ = 61.1°, d 1.516, intensity 38, hkl 3 3 -5
- 2θ = 30.9°, d 2.891, intensity 33, hkl 0 0 4
- 2θ = 51.3°, d 1.780, intensity 24, hkl 0 6 0
- 2θ = 51.5°, d 1.773, intensity 24, hkl 1 3 5
- 2θ = 61.3°, d 1.512, intensity 14, hkl 2 0 6
- 2θ = 64.1°, d 1.452, intensity 12, hkl 2 6 2
- 2θ = 83.8°, d 1.155, intensity 12, hkl 4 6 0
- 2θ = 86.5°, d 1.125, intensity 11, hkl 5 3 1



No. 3
Starting from the PBE geometry in Alexandria, the XRD peak list of Tb6PrDy2Er3 was calculated for λ = 1.5418 Å (Cu Kα).
Intensities are scaled so that the largest is 100.

Atomic structure:
```
data_Tb6PrDy2Er3
_cell_length_a 6.160
_cell_length_b 10.660
_cell_length_c 11.786
_cell_angle_alpha 90.00
_cell_angle_beta 99.97
_cell_angle_gamma 90.00
_space_group_name_H-M_alt 'C 1 2/m 1'
_space_group_IT_number 12
loop_
_space_group_symop_operation_xyz
'x,y,z'
'-x,-y,-z'
'-x,y,-z'
'x,-y,z'
'x+1/2,y+1/2,z'
'-x+1/2,-y+1/2,-z'
'-x+1/2,y+1/2,-z'
'x+1/2,-y+1/2,z'
loop_
_atom_site_label
_atom_site_type_symbol
_atom_site_fract_x
_atom_site_fract_y
_atom_site_fract_z
_atom_site_occupancy
Tb1 Tb 0.248 0.167 0.247 1
Tb2 Tb 0.249 0.500 0.247 1
Pr1 Pr 0.000 0.500 0.500 1
Dy1 Dy 0.000 0.167 0.500 1
Er1 Er 0.000 0.000 0.000 1
Er2 Er 0.000 0.333 0.000 1
```

Principal peaks in the range 10° ≤ 2θ ≤ 90°, in order of falling intensity:
- 2θ = 30.8°, d 2.902, intensity 100, hkl 1 3 1
- 2θ = 35.7°, d 2.514, intensity 51, hkl 2 0 2
- 2θ = 51.4°, d 1.777, intensity 36, hkl 0 6 0
- 2θ = 61.2°, d 1.515, intensity 28, hkl 3 3 -5
- 2θ = 83.9°, d 1.153, intensity 18, hkl 4 6 0
- 2θ = 61.1°, d 1.517, intensity 14, hkl 4 0 0
- 2θ = 64.2°, d 1.451, intensity 12, hkl 2 6 2
- 2θ = 86.6°, d 1.124, intensity 11, hkl 5 3 1
- 2θ = 86.6°, d 1.124, intensity 6, hkl 1 9 -3
- 2θ = 75.7°, d 1.256, intensity 4, hkl 2 6 -6



No. 4
Starting from the PBE geometry in Alexandria, the XRD peak list of TbPr2DyEr was calculated for λ = 1.5418 Å (Cu Kα).
Intensities are scaled so that the largest is 100.

Atomic structure:
```
data_TbPr2DyEr
_cell_length_a 8.431
_cell_length_b 11.611
_cell_length_c 7.309
_cell_angle_alpha 90.00
_cell_angle_beta 90.00
_cell_angle_gamma 90.00
_space_group_name_H-M_alt 'C m c m'
_space_group_IT_number 63
_space_group_name_Hall '-C 2c 2'
loop_
_atom_site_label
_atom_site_type_symbol
_atom_site_fract_x
_atom_site_fract_y
_atom_site_fract_z
_atom_site_occupancy
Tb1 Tb 0.000 0.024 0.250 1
Pr1 Pr 0.194 0.500 0.000 1
Dy1 Dy 0.000 0.258 0.750 1
Er1 Er 0.000 0.287 0.250 1
```

Principal peaks in the range 10° ≤ 2θ ≤ 90°, in order of falling intensity:
- 2θ = 32.4°, d 2.761, intensity 100, hkl 2 0 2
- 2θ = 45.3°, d 2.001, intensity 61, hkl 2 4 2
- 2θ = 28.9°, d 3.093, intensity 54, hkl 0 2 2
- 2θ = 30.8°, d 2.903, intensity 53, hkl 0 4 0
- 2θ = 26.1°, d 3.411, intensity 50, hkl 2 2 0
- 2θ = 35.4°, d 2.534, intensity 44, hkl 1 3 2
- 2θ = 39.6°, d 2.274, intensity 42, hkl 3 3 0
- 2θ = 49.9°, d 1.827, intensity 30, hkl 0 0 4
- 2θ = 27.7°, d 3.221, intensity 27, hkl 1 1 2
- 2θ = 32.8°, d 2.731, intensity 25, hkl 3 1 0



No. 5
Starting from the PBE geometry in Alexandria, the XRD peak list of Tb4PrDyEr2 was calculated for λ = 1.5418 Å (Cu Kα).
Intensities are scaled so that the largest is 100.

Atomic structure:
```
data_Tb4PrDyEr2
_cell_length_a 13.608
_cell_length_b 13.245
_cell_length_c 6.801
_cell_angle_alpha 90.00
_cell_angle_beta 119.98
_cell_angle_gamma 90.00
_space_group_name_H-M_alt 'C 1 2/c 1'
_space_group_IT_number 15
loop_
_space_group_symop_operation_xyz
'x,y,z'
'-x,-y,-z'
'-x,y,-z+1/2'
'x,-y,z+1/2'
'x+1/2,y+1/2,z'
'-x+1/2,-y+1/2,-z'
'-x+1/2,y+1/2,-z+1/2'
'x+1/2,-y+1/2,z+1/2'
loop_
_atom_site_label
_atom_site_type_symbol
_atom_site_fract_x
_atom_site_fract_y
_atom_site_fract_z
_atom_site_occupancy
Tb1 Tb 0.000 0.249 0.002 1
Tb2 Tb 0.249 0.003 0.497 1
Pr1 Pr 0.250 0.250 0.000 1
Dy1 Dy 0.000 0.500 0.000 1
Er1 Er 0.000 0.000 0.000 1
Er2 Er 0.250 0.250 0.500 1
```

Principal peaks in the range 10° ≤ 2θ ≤ 90°, in order of falling intensity:
- 2θ = 30.3°, d 2.946, intensity 100, hkl 4 0 0
- 2θ = 41.0°, d 2.201, intensity 89, hkl 4 4 0
- 2θ = 26.9°, d 3.311, intensity 45, hkl 0 4 0
- 2θ = 61.3°, d 1.513, intensity 27, hkl 4 4 2
- 2θ = 64.6°, d 1.443, intensity 23, hkl 4 8 0
- 2θ = 53.9°, d 1.701, intensity 20, hkl 4 0 2
- 2θ = 81.1°, d 1.186, intensity 12, hkl 4 8 2
- 2θ = 69.9°, d 1.346, intensity 12, hkl 0 4 4
- 2θ = 88.9°, d 1.100, intensity 10, hkl 8 8 0
- 2θ = 63.1°, d 1.473, intensity 8, hkl 0 0 4



No. 6
Starting from the PBE geometry in Alexandria, the XRD peak list of Pr3Dy3ErTe8 was calculated for λ = 1.5418 Å (Cu Kα).
Intensities are scaled so that the largest is 100.

Atomic structure:
```
data_Pr3Dy3ErTe8
_cell_length_a 8.8075
_cell_length_b 8.8075
_cell_length_c 21.8483
_cell_angle_alpha 90.00
_cell_angle_beta 90.00
_cell_angle_gamma 120.00
_space_group_name_H-M_alt 'R -3 m'
_space_group_IT_number 166
_space_group_name_Hall '-R 3 2"'
loop_
_atom_site_label
_atom_site_type_symbol
_atom_site_fract_x
_atom_site_fract_y
_atom_site_fract_z
_atom_site_occupancy
Pr1 Pr 0.0000 0.5000 0.0000 1
Dy1 Dy 0.0000 0.5000 0.5000 1
Er1 Er 0.0000 0.0000 0.5000 1
Te1 Te 0.0000 0.0000 0.2454 1
Te2 Te 0.0064 0.5032 0.7530 1
```

Principal peaks in the range 10° ≤ 2θ ≤ 90°, in order of falling intensity:
- 2θ = 28.5°, d 3.127, intensity 100, hkl 0 2 4
- 2θ = 40.6°, d 2.220, intensity 38, hkl 2 0 8
- 2θ = 41.0°, d 2.202, intensity 38, hkl 2 2 0
- 2θ = 50.7°, d 1.800, intensity 20, hkl 4 0 4
- 2θ = 67.2°, d 1.394, intensity 17, hkl 2 4 4
- 2θ = 66.7°, d 1.403, intensity 17, hkl 2 2 12
- 2θ = 74.4°, d 1.275, intensity 13, hkl 4 2 8
- 2θ = 59.1°, d 1.563, intensity 13, hkl 0 4 8
- 2θ = 50.1°, d 1.821, intensity 7, hkl 0 0 12
- 2θ = 74.7°, d 1.271, intensity 6, hkl 6 0 0



No. 7
Starting from the PBE geometry in Alexandria, the XRD peak list of Pr2DyErTh was calculated for λ = 1.5418 Å (Cu Kα).
Intensities are scaled so that the largest is 100.

Atomic structure:
```
data_Pr2DyErTh
_cell_length_a 8.579
_cell_length_b 6.479
_cell_length_c 6.334
_cell_angle_alpha 90.00
_cell_angle_beta 95.88
_cell_angle_gamma 90.00
_space_group_name_H-M_alt 'P 1 2/c 1'
_space_group_IT_number 13
loop_
_space_group_symop_operation_xyz
'x,y,z'
'-x,-y,-z'
'-x,y,-z+1/2'
'x,-y,z+1/2'
loop_
_atom_site_label
_atom_site_type_symbol
_atom_site_fract_x
_atom_site_fract_y
_atom_site_fract_z
_atom_site_occupancy
Pr1 Pr 0.189 0.198 0.282 1
Dy1 Dy 0.500 0.054 0.750 1
Er1 Er 0.000 0.330 0.750 1
Th1 Th 0.500 0.500 0.000 1
```

Principal peaks in the range 10° ≤ 2θ ≤ 90°, in order of falling intensity:
- 2θ = 29.5°, d 3.029, intensity 100, hkl 1 2 0
- 2θ = 32.3°, d 2.767, intensity 76, hkl 1 1 -2
- 2θ = 29.8°, d 2.994, intensity 65, hkl 2 1 1
- 2θ = 27.7°, d 3.222, intensity 54, hkl 2 1 -1
- 2θ = 34.3°, d 2.618, intensity 52, hkl 1 1 2
- 2θ = 20.8°, d 4.267, intensity 50, hkl 2 0 0
- 2θ = 31.6°, d 2.833, intensity 44, hkl 0 1 2
- 2θ = 34.8°, d 2.580, intensity 43, hkl 2 2 0
- 2θ = 42.9°, d 2.107, intensity 40, hkl 3 1 -2
- 2θ = 31.4°, d 2.845, intensity 35, hkl 3 0 0



No. 8
Starting from the PBE geometry in Alexandria, the XRD peak list of PrDyEr2Th was calculated for λ = 1.5418 Å (Cu Kα).
Intensities are scaled so that the largest is 100.

Atomic structure:
```
data_PrDyEr2Th
_cell_length_a 3.535
_cell_length_b 5.637
_cell_length_c 8.681
_cell_angle_alpha 90.00
_cell_angle_beta 90.00
_cell_angle_gamma 90.00
_space_group_name_H-M_alt 'P m m m'
_space_group_IT_number 47
loop_
_space_group_symop_operation_xyz
'x,y,z'
'-x,-y,-z'
'-x,-y,z'
'x,y,-z'
'x,-y,-z'
'-x,y,z'
'-x,y,-z'
'x,-y,z'
loop_
_atom_site_label
_atom_site_type_symbol
_atom_site_fract_x
_atom_site_fract_y
_atom_site_fract_z
_atom_site_occupancy
Pr1 Pr 0.000 0.000 0.000 1
Dy1 Dy 0.500 0.000 0.500 1
Er1 Er 0.000 0.500 0.322 1
Th1 Th 0.500 0.500 0.000 1
```

Principal peaks in the range 10° ≤ 2θ ≤ 90°, in order of falling intensity:
- 2θ = 31.6°, d 2.831, intensity 100, hkl 1 1 1
- 2θ = 31.8°, d 2.818, intensity 40, hkl 0 2 0
- 2θ = 34.9°, d 2.574, intensity 27, hkl 0 1 3
- 2θ = 36.4°, d 2.465, intensity 26, hkl 1 1 2
- 2θ = 61.8°, d 1.502, intensity 20, hkl 1 1 5
- 2θ = 32.7°, d 2.741, intensity 20, hkl 1 0 2
- 2θ = 56.5°, d 1.630, intensity 20, hkl 1 3 1
- 2θ = 15.7°, d 5.637, intensity 18, hkl 0 1 0
- 2θ = 20.5°, d 4.341, intensity 17, hkl 0 0 2
- 2θ = 30.9°, d 2.894, intensity 16, hkl 0 0 3



Copy entry 8 word for word.
Starting from the PBE geometry in Alexandria, the XRD peak list of PrDyEr2Th was calculated for λ = 1.5418 Å (Cu Kα).
Intensities are scaled so that the largest is 100.

Atomic structure:
```
data_PrDyEr2Th
_cell_length_a 3.535
_cell_length_b 5.637
_cell_length_c 8.681
_cell_angle_alpha 90.00
_cell_angle_beta 90.00
_cell_angle_gamma 90.00
_space_group_name_H-M_alt 'P m m m'
_space_group_IT_number 47
loop_
_space_group_symop_operation_xyz
'x,y,z'
'-x,-y,-z'
'-x,-y,z'
'x,y,-z'
'x,-y,-z'
'-x,y,z'
'-x,y,-z'
'x,-y,z'
loop_
_atom_site_label
_atom_site_type_symbol
_atom_site_fract_x
_atom_site_fract_y
_atom_site_fract_z
_atom_site_occupancy
Pr1 Pr 0.000 0.000 0.000 1
Dy1 Dy 0.500 0.000 0.500 1
Er1 Er 0.000 0.500 0.322 1
Th1 Th 0.500 0.500 0.000 1
```

Principal peaks in the range 10° ≤ 2θ ≤ 90°, in order of falling intensity:
- 2θ = 31.6°, d 2.831, intensity 100, hkl 1 1 1
- 2θ = 31.8°, d 2.818, intensity 40, hkl 0 2 0
- 2θ = 34.9°, d 2.574, intensity 27, hkl 0 1 3
- 2θ = 36.4°, d 2.465, intensity 26, hkl 1 1 2
- 2θ = 61.8°, d 1.502, intensity 20, hkl 1 1 5
- 2θ = 32.7°, d 2.741, intensity 20, hkl 1 0 2
- 2θ = 56.5°, d 1.630, intensity 20, hkl 1 3 1
- 2θ = 15.7°, d 5.637, intensity 18, hkl 0 1 0
- 2θ = 20.5°, d 4.341, intensity 17, hkl 0 0 2
- 2θ = 30.9°, d 2.894, intensity 16, hkl 0 0 3



Q: Number 2 is which compound?
A: Tb3Pr2DyEr6